This entry pairs a crystal structure of Na2Li2NiO4 with its computed PXRD pattern. Radiation: copper Kα. Structure: a cell relaxed with PBE+U.
Peak positions follow from Bragg's law for the DFT cell and can differ from measured ones.

Largest 12 diffraction maxima, sorted by position, 15 to 90 degrees two-theta:
2θ (°)	I/Imax	(hkl)
16.91	523	0 0 1
17.43	461	2 0 0
17.91	1000	2 0 -1
30.23	391	1 1 0
31.29	349	4 0 -1
32.74	195	1 1 -1
37.82	304	3 1 -1
42.97	776	1 1 -2
46.25	199	4 0 1
48.11	342	3 1 1
55.52	313	3 1 -3
64.85	264	7 1 -2

Atomic structure:
```
data_Na2Li2NiO4
_chemical_formula_sum 'Na4 Li4 Ni2 O8'
_space_group_name_H-M_alt 'C 1 2/m 1'
_space_group_IT_number 12
_space_group_name_Hall '-C 2y'
_cell_length_a 11.439
_cell_length_b 3.089
_cell_length_c 5.893
_cell_angle_alpha 90.00
_cell_angle_beta 117.19
_cell_angle_gamma 90.00
loop_
_atom_site_label
_atom_site_type_symbol
_atom_site_fract_x
_atom_site_fract_y
_atom_site_fract_z
_atom_site_occupancy
Na1 Na 0.150 0.000 0.029 1
Li1 Li 0.174 0.500 0.475 1
Ni1 Ni 0.000 0.000 0.500 1
O1 O 0.006 0.500 0.721 1
O2 O 0.195 0.000 0.665 1
```

***

This entry pairs a crystal structure of Na4LiNi5O10 with its computed PXRD pattern. Radiation: copper Kα. Structure: a cell relaxed with PBE+U.
Peak positions follow from Bragg's law for the DFT cell and can differ from measured ones.

Largest 12 diffraction maxima, sorted by position, 15 to 90 degrees two-theta:
2θ (°)	I/Imax	(hkl)
17.10	1000	2 0 1
33.69	148	8 0 -1
34.60	191	4 0 2
35.84	160	6 0 -2
36.17	135	3 1 -1
37.27	256	5 1 0
40.09	498	10 0 0
43.10	749	1 1 -2
55.62	114	1 1 3
59.49	237	9 1 2
59.83	101	2 0 -4
61.13	237	11 1 -2

Atomic structure:
```
data_Na4LiNi5O10
_chemical_formula_sum 'Na8 Li2 Ni10 O20'
_space_group_name_H-M_alt 'C 1 2/m 1'
_space_group_IT_number 12
_space_group_name_Hall '-C 2y'
_cell_length_a 22.605
_cell_length_b 2.859
_cell_length_c 6.187
_cell_angle_alpha 90.00
_cell_angle_beta 95.77
_cell_angle_gamma 90.00
loop_
_atom_site_label
_atom_site_type_symbol
_atom_site_fract_x
_atom_site_fract_y
_atom_site_fract_z
_atom_site_occupancy
Na1 Na 0.099 0.000 0.299 1
Na2 Na 0.199 0.500 0.097 1
Li1 Li 0.000 0.500 0.500 1
Ni1 Ni 0.000 0.500 0.000 1
Ni2 Ni 0.097 0.000 0.794 1
Ni3 Ni 0.199 0.500 0.597 1
O1 O 0.003 0.000 0.787 1
O2 O 0.096 0.500 0.001 1
O3 O 0.098 0.500 0.589 1
O4 O 0.196 0.000 0.801 1
O5 O 0.203 0.000 0.393 1
```